(1)
MnP3O9: calculated powder diffraction line list (Cu Kα, 1.54184 Å), based on a structure optimized by DFT (GGA+U).
No peak broadening, texture or thermal motion is included.

```
data_MnP3O9
_chemical_formula_sum 'Mn4 P12 O36'
_space_group_name_H-M_alt 'C 1 c 1'
_space_group_IT_number 9
_cell_length_a 11.5946
_cell_length_b 6.6354
_cell_length_c 9.7861
_cell_angle_alpha 90.00
_cell_angle_beta 92.89
_cell_angle_gamma 90.00
loop_
_space_group_symop_operation_xyz
'x,y,z'
'x,-y,z+1/2'
'x+1/2,y+1/2,z'
'x+1/2,-y+1/2,z+1/2'
loop_
_atom_site_label
_atom_site_type_symbol
_atom_site_fract_x
_atom_site_fract_y
_atom_site_fract_z
Mn1 Mn 0.0000 0.0140 0.0000
P1 P 0.0581 0.3171 0.7493
P2 P 0.1343 0.2540 0.2456
P3 P 0.3091 0.4158 0.7550
O1 O 0.0025 0.2518 0.8780
O2 O 0.0089 0.2323 0.6165
O3 O 0.0464 0.4437 0.2404
O4 O 0.1224 0.1363 0.3731
O5 O 0.1219 0.1435 0.1097
O6 O 0.1951 0.2793 0.7638
O7 O 0.2587 0.3578 0.2456
O8 O 0.3700 0.3654 0.6293
O9 O 0.3733 0.3896 0.8926
```

Peak list (10 most intense, 10 to 90 degrees two-theta, low angle first)
2θ/deg  I/Imax
15.4  100
18.2  21
23.2  14
23.6  26
24.2  22
24.4  10
27.9  12
28.6  11
31.8  11
32.6  11


(2)
Mn3P2O8: calculated powder diffraction line list (Cu Kα, 1.54184 Å), based on a structure optimized by DFT (GGA+U).
No peak broadening, texture or thermal motion is included.

```
data_Mn3P2O8
_chemical_formula_sum 'Mn6 P4 O16'
_space_group_name_H-M_alt 'P 1 21/c 1'
_space_group_IT_number 14
_cell_length_a 5.2559
_cell_length_b 8.7744
_cell_length_c 9.2685
_cell_angle_alpha 90.00
_cell_angle_beta 121.63
_cell_angle_gamma 90.00
loop_
_space_group_symop_operation_xyz
'x,y,z'
'-x,-y,-z'
'-x,y+1/2,-z+1/2'
'x,-y+1/2,z+1/2'
loop_
_atom_site_label
_atom_site_type_symbol
_atom_site_fract_x
_atom_site_fract_y
_atom_site_fract_z
Mn1 Mn 0.0000 0.0000 0.0000
Mn2 Mn 0.0264 0.1433 0.6165
P1 P 0.3307 0.6927 0.2976
O1 O 0.1838 0.5801 0.1447
O2 O 0.1909 0.6449 0.7384
O3 O 0.2573 0.6446 0.4329
O4 O 0.3276 0.1934 0.1273
```

Peak list (10 most intense, 10 to 90 degrees two-theta, low angle first)
2θ/deg  I/Imax
19.8  76
20.8  36
22.3  34
24.7  100
26.5  20
30.5  20
34.2  25
34.5  28
35.1  46
35.6  27


(3)
MnPO4: calculated powder diffraction line list (Cu Kα, 1.54184 Å), based on a structure optimized by DFT (GGA+U).
No peak broadening, texture or thermal motion is included.

```
data_MnPO4
_chemical_formula_sum 'Mn8 P8 O32'
_space_group_name_H-M_alt 'P b c a'
_space_group_IT_number 61
_cell_length_a 9.1666
_cell_length_b 9.2276
_cell_length_c 9.5899
_cell_angle_alpha 90.00
_cell_angle_beta 90.00
_cell_angle_gamma 90.00
loop_
_space_group_symop_operation_xyz
'x,y,z'
'-x,-y,-z'
'-x+1/2,-y,z+1/2'
'x+1/2,y,-z+1/2'
'x+1/2,-y+1/2,-z'
'-x+1/2,y+1/2,z'
'-x,y+1/2,-z+1/2'
'x,-y+1/2,z+1/2'
loop_
_atom_site_label
_atom_site_type_symbol
_atom_site_fract_x
_atom_site_fract_y
_atom_site_fract_z
Mn1 Mn 0.1035 0.0658 0.2185
P1 P 0.1821 0.1285 0.8920
O1 O 0.0792 0.0047 0.8460
O2 O 0.1255 0.2229 0.3447
O3 O 0.1661 0.5999 0.8277
O4 O 0.1969 0.1322 0.0524
```

Peak list (10 most intense, 10 to 90 degrees two-theta, low angle first)
2θ/deg  I/Imax
16.5  32
18.5  32
19.2  18
20.9  24
21.6  48
23.5  100
26.8  21
29.0  10
31.2  11
35.6  29


(4)
Mn2P4O13: calculated powder diffraction line list (Cu Kα, 1.54184 Å), based on a structure optimized by DFT (GGA+U).
No peak broadening, texture or thermal motion is included.

```
data_Mn2P4O13
_chemical_formula_sum 'Mn8 P16 O52'
_space_group_name_H-M_alt 'C 2 2 21'
_space_group_IT_number 20
_cell_length_a 7.1524
_cell_length_b 16.0689
_cell_length_c 8.2589
_cell_angle_alpha 90.00
_cell_angle_beta 90.00
_cell_angle_gamma 90.00
loop_
_space_group_symop_operation_xyz
'x,y,z'
'-x,-y,z+1/2'
'x,-y,-z'
'-x,y,-z+1/2'
'x+1/2,y+1/2,z'
'-x+1/2,-y+1/2,z+1/2'
'x+1/2,-y+1/2,-z'
'-x+1/2,y+1/2,-z+1/2'
loop_
_atom_site_label
_atom_site_type_symbol
_atom_site_fract_x
_atom_site_fract_y
_atom_site_fract_z
Mn1 Mn 0.2303 0.1454 0.1371
P1 P 0.2189 0.4405 0.2790
P2 P 0.2221 0.3360 0.9923
O1 O 0.0000 0.4389 0.2500
O2 O 0.0358 0.3561 0.9193
O3 O 0.1271 0.1657 0.3581
O4 O 0.2053 0.0857 0.6062
O5 O 0.2184 0.0277 0.1865
O6 O 0.2211 0.1236 0.9015
O7 O 0.2356 0.2631 0.1097
```

Peak list (10 most intense, 10 to 90 degrees two-theta, low angle first)
2θ/deg  I/Imax
22.1  42
24.2  26
24.6  46
24.9  100
25.5  25
35.3  15
35.4  29
44.2  13
51.0  21
53.5  13


(5)
MnPO4: calculated powder diffraction line list (Cu Kα, 1.54184 Å), based on a structure optimized by DFT (GGA+U).
No peak broadening, texture or thermal motion is included.

```
data_MnPO4
_chemical_formula_sum 'Mn4 P4 O16'
_space_group_name_H-M_alt 'P n m a'
_space_group_IT_number 62
_cell_length_a 9.8749
_cell_length_b 6.0518
_cell_length_c 4.9254
_cell_angle_alpha 90.00
_cell_angle_beta 90.00
_cell_angle_gamma 90.00
loop_
_space_group_symop_operation_xyz
'x,y,z'
'-x,-y,-z'
'-x+1/2,-y,z+1/2'
'x+1/2,y,-z+1/2'
'x+1/2,-y+1/2,-z+1/2'
'-x+1/2,y+1/2,z+1/2'
'-x,y+1/2,-z'
'x,-y+1/2,z'
loop_
_atom_site_label
_atom_site_type_symbol
_atom_site_fract_x
_atom_site_fract_y
_atom_site_fract_z
Mn1 Mn 0.2110 0.2500 0.0776
P1 P 0.1016 0.7500 0.0866
O1 O 0.0522 0.2500 0.8584
O2 O 0.1236 0.7500 0.7763
O3 O 0.1714 0.5501 0.2304
```

Peak list (10 most intense, 10 to 90 degrees two-theta, low angle first)
2θ/deg  I/Imax
18.0  56
20.1  99
25.0  50
25.5  22
29.5  100
32.7  21
36.0  86
37.6  27
48.6  23
58.1  20


Number 4 is which compound? Mn2P4O13